# 1
TaSi23: computed X-ray powder pattern (Cu Ka), based on a cell relaxed with PBE.

Crystal structure
```
48
Lattice="10.1791 0.0000 0.0000 0.0000 10.1791 0.0000 0.0000 0.0000 10.1791" Properties=species:S:1:pos:R:3 pbc="T T T"
Ta 0.0000 0.0000 0.0000
Ta 5.0895 5.0895 5.0895
Si 0.0000 1.1795 3.1352
Si 0.0000 1.1795 7.0438
Si 0.0000 2.5448 5.0895
Si 0.0000 7.6343 5.0895
Si 0.0000 8.9996 3.1352
Si 0.0000 8.9996 7.0438
Si 1.1795 3.1352 0.0000
Si 1.1795 7.0438 0.0000
Si 1.8402 1.8402 1.8402
Si 1.8402 1.8402 8.3389
Si 1.8402 8.3389 1.8402
Si 1.8402 8.3389 8.3389
Si 1.9543 3.9100 5.0895
Si 1.9543 6.2691 5.0895
Si 2.5448 5.0895 0.0000
Si 3.1352 0.0000 1.1795
Si 3.1352 0.0000 8.9996
Si 3.2494 3.2494 3.2494
Si 3.2494 3.2494 6.9297
Si 3.2494 6.9297 3.2494
Si 3.2494 6.9297 6.9297
Si 3.9100 5.0895 1.9543
Si 3.9100 5.0895 8.2248
Si 5.0895 0.0000 2.5448
Si 5.0895 0.0000 7.6343
Si 5.0895 1.9543 3.9100
Si 5.0895 1.9543 6.2691
Si 5.0895 8.2248 3.9100
Si 5.0895 8.2248 6.2691
Si 6.2691 5.0895 1.9543
Si 6.2691 5.0895 8.2248
Si 6.9297 3.2494 3.2494
Si 6.9297 3.2494 6.9297
Si 6.9297 6.9297 3.2494
Si 6.9297 6.9297 6.9297
Si 7.0438 0.0000 1.1795
Si 7.0438 0.0000 8.9996
Si 7.6343 5.0895 0.0000
Si 8.2248 3.9100 5.0895
Si 8.2248 6.2691 5.0895
Si 8.3389 1.8402 1.8402
Si 8.3389 1.8402 8.3389
Si 8.3389 8.3389 1.8402
Si 8.3389 8.3389 8.3389
Si 8.9996 3.1352 0.0000
Si 8.9996 7.0438 0.0000
```

Most intense lines, 15 to 90 degrees two-theta, low angle first:
- 19.5 deg, 4.552 Å, I 22.2
- 24.7 deg, 3.599 Å, I 13.7
- 27.7 deg, 3.219 Å, I 16.7
- 32.9 deg, 2.720 Å, I 100.0
- 37.5 deg, 2.399 Å, I 29.9
- 39.6 deg, 2.276 Å, I 10.9
- 45.4 deg, 1.996 Å, I 17.7
- 54.1 deg, 1.697 Å, I 18.2
- 55.7 deg, 1.651 Å, I 39.3
- 67.6 deg, 1.385 Å, I 13.0
- 73.2 deg, 1.293 Å, I 12.1
- 89.2 deg, 1.098 Å, I 11.0

# 2
Pm6Bi2Pb: computed X-ray powder pattern (Cu Ka), based on a cell relaxed with PBE.

Crystal structure
```
9
Lattice="4.4537 0.0000 0.0000 0.0000 7.5330 4.3478 0.0000 -7.5330 4.3478" Properties=species:S:1:pos:R:3 pbc="T T T"
Pm 0.0000 0.0000 0.0000
Pm 0.0000 -1.9562 5.2968
Pm 0.0000 1.9562 5.2968
Pm 2.2269 -4.4645 3.8523
Pm 2.2269 0.0000 2.8864
Pm 2.2269 4.4645 3.8523
Bi 0.0000 -2.5146 2.0806
Bi 0.0000 2.5146 2.0806
Pb 2.2269 0.0000 6.4343
```

Most intense lines, 15 to 90 degrees two-theta, low angle first:
- 20.4 deg, 4.348 Å, I 13.9
- 28.7 deg, 3.111 Å, I 78.0
- 31.1 deg, 2.876 Å, I 100.0
- 31.4 deg, 2.847 Å, I 36.4
- 35.8 deg, 2.511 Å, I 53.6
- 37.5 deg, 2.399 Å, I 46.5
- 40.5 deg, 2.227 Å, I 27.5
- 52.1 deg, 1.754 Å, I 17.6
- 55.1 deg, 1.666 Å, I 31.5
- 55.9 deg, 1.644 Å, I 11.8
- 57.2 deg, 1.611 Å, I 40.5
- 86.4 deg, 1.126 Å, I 13.2

# 3
Ca2AcSi2: computed X-ray powder pattern (Cu Ka), based on a cell relaxed with PBE.

Crystal structure
```
10
Lattice="5.3433 0.0000 0.0000 0.0000 4.5457 0.0000 -0.9186 0.0000 11.9381" Properties=species:S:1:pos:R:3 pbc="T T T"
Ca 0.5897 1.1364 1.2779
Ca 0.8502 3.4093 6.0238
Ca 3.5745 1.1364 5.9142
Ca 3.8350 3.4093 10.6602
Ac 1.2156 1.1364 9.1330
Ac 3.2091 3.4093 2.8051
Si 0.9402 1.1364 4.1631
Si 1.1765 3.4093 11.7423
Si 3.2482 1.1364 0.1958
Si 3.4844 3.4093 7.7750
```

Most intense lines, 15 to 90 degrees two-theta, low angle first:
- 16.6 deg, 5.328 Å, I 34.3
- 17.7 deg, 5.010 Å, I 36.9
- 20.9 deg, 4.248 Å, I 64.6
- 25.8 deg, 3.458 Å, I 42.9
- 27.2 deg, 3.278 Å, I 55.4
- 29.2 deg, 3.059 Å, I 86.2
- 29.9 deg, 2.992 Å, I 100.0
- 30.5 deg, 2.930 Å, I 33.1
- 33.9 deg, 2.643 Å, I 35.2
- 39.7 deg, 2.273 Å, I 31.8
- 43.1 deg, 2.099 Å, I 30.7
- 51.8 deg, 1.764 Å, I 26.6

# 4
Li3B4C4: computed X-ray powder pattern (Cu Ka), based on a cell relaxed with PBE.

Crystal structure
```
22
Lattice="2.7272 0.0000 0.0000 0.0000 9.4189 0.0000 0.0000 0.0000 7.2378" Properties=species:S:1:pos:R:3 pbc="T T T"
Li 0.0000 1.0024 0.0000
Li 0.0000 5.8648 3.5093
Li 0.0000 6.1245 7.1678
Li 1.3636 3.2944 3.5489
Li 1.3636 3.5541 7.1282
Li 1.3636 8.4165 3.6189
B 0.0000 2.7712 1.6478
B 0.0000 4.2733 5.3326
B 0.0000 7.5268 1.8017
B 0.0000 8.9742 5.4570
B 1.3636 0.4447 1.8381
B 1.3636 1.8921 5.4206
B 1.3636 5.1456 1.7137
B 1.3636 6.6477 5.2667
C 0.0000 2.6990 5.4010
C 0.0000 4.3545 1.6781
C 0.0000 7.4149 5.2683
C 0.0000 9.0850 1.8850
C 1.3636 0.3339 5.5039
C 1.3636 2.0040 1.6494
C 1.3636 5.0644 5.2970
C 1.3636 6.7199 1.7821
```

Most intense lines, 15 to 90 degrees two-theta, low angle first:
- 15.4 deg, 5.739 Å, I 4.6
- 24.6 deg, 3.619 Å, I 100.0
- 38.2 deg, 2.358 Å, I 8.9
- 40.2 deg, 2.244 Å, I 2.7
- 45.9 deg, 1.976 Å, I 50.6
- 50.4 deg, 1.809 Å, I 16.8
- 68.9 deg, 1.364 Å, I 5.9
- 69.0 deg, 1.361 Å, I 10.4
- 74.3 deg, 1.276 Å, I 3.1
- 74.5 deg, 1.274 Å, I 6.8
- 86.8 deg, 1.122 Å, I 4.2
- 87.0 deg, 1.120 Å, I 1.6